Entry 1:
The following is a calculated powder XRD pattern of AuCl3. It was derived from a structure optimized by DFT (PBE), using a wavelength of 1.5418 Å.
Kinematic intensities with the Lorentz-polarization factor, no thermal factor.

Structure:
abc: 5.322 3.603 5.369
angles: 90.00 95.27 90.00
Fractional positions:
Au 0.000 0.000 0.000
Cl 0.202 0.500 0.797
Cl 0.500 0.000 0.500
Cl 0.798 0.500 0.203

The 12 most intense peaks (2θ = 10–90°), by angle:
| 2θ/deg | I/Imax |
| --- | --- |
| 16.6 | 66 |
| 16.7 | 66 |
| 22.5 | 30 |
| 24.7 | 100 |
| 29.9 | 39 |
| 33.7 | 64 |
| 35.2 | 18 |
| 42.1 | 34 |
| 42.3 | 33 |
| 44.3 | 17 |
| 50.7 | 21 |
| 57.2 | 19 |

Entry 2:
The following is a calculated powder XRD pattern of CoAuCl. It was derived from a structure optimized by DFT (PBE), using a wavelength of 1.5418 Å.
Kinematic intensities with the Lorentz-polarization factor, no thermal factor.

Structure:
abc: 3.181 3.181 12.717
angles: 97.19 97.19 60.89
Fractional positions:
Co 0.087 0.087 0.256
Co 0.913 0.913 0.744
Au 0.199 0.199 0.590
Au 0.801 0.801 0.410
Cl 0.386 0.386 0.146
Cl 0.614 0.614 0.854

The 12 most intense peaks (2θ = 10–90°), by angle:
| 2θ/deg | I/Imax |
| --- | --- |
| 32.6 | 42 |
| 34.4 | 74 |
| 34.8 | 36 |
| 35.7 | 34 |
| 36.4 | 95 |
| 36.7 | 45 |
| 37.5 | 59 |
| 40.3 | 100 |
| 40.6 | 47 |
| 41.8 | 45 |
| 43.1 | 35 |
| 58.0 | 47 |

Entry 3:
The following is a calculated powder XRD pattern of CoAuCl6. It was derived from a structure optimized by DFT (PBE), using a wavelength of 1.5418 Å.
Kinematic intensities with the Lorentz-polarization factor, no thermal factor.

Structure:
abc: 6.431 6.431 7.066
angles: 105.14 105.14 115.20
Fractional positions:
Co 0.000 0.000 0.000
Au 0.000 0.000 0.500
Cl 0.141 0.845 0.259
Cl 0.155 0.859 0.741
Cl 0.356 0.356 0.176
Cl 0.644 0.644 0.824
Cl 0.845 0.141 0.259
Cl 0.859 0.155 0.741

The 12 most intense peaks (2θ = 10–90°), by angle:
| 2θ/deg | I/Imax |
| --- | --- |
| 16.3 | 44 |
| 16.8 | 100 |
| 26.5 | 34 |
| 29.7 | 19 |
| 33.4 | 12 |
| 34.1 | 18 |
| 35.5 | 39 |
| 45.0 | 10 |
| 46.0 | 14 |
| 46.4 | 11 |
| 47.5 | 9 |
| 54.7 | 9 |